Calculated X-ray diffraction stick pattern
Compound: ErCr2BiO6
Radiation: λ = 1.5418 Å (Cu Kα)
Structure: DFT lattice parameters and positions (GGA+U)
Intensities are scaled so that the largest is 100.

Principal peaks in the range 2θ from 10° to 90°, by angle:
22.68°, I 78, (0 1 2)
32.13°, I 100, (1 0 4)
32.44°, I 96, (1 1 0)
39.95°, I 29, (2 0 2)
46.31°, I 47, (0 2 4)
51.94°, I 30, (1 1 6)
57.68°, I 41, (2 1 4)
57.87°, I 25, (3 0 0)

Cell and atoms:
```
data_ErCr2BiO6
_chemical_formula_sum 'Er3 Cr6 Bi3 O18'
_symmetry_space_group_name_H-M 'R 3'
_symmetry_Int_Tables_number 146
_symmetry_space_group_name_Hall 'R 3'
_cell_length_a 5.5194
_cell_length_b 5.5194
_cell_length_c 13.7144
_cell_angle_alpha 90.00
_cell_angle_beta 90.00
_cell_angle_gamma 120.00
loop_
_atom_site_label
_atom_site_type_symbol
_atom_site_fract_x
_atom_site_fract_y
_atom_site_fract_z
Er1 Er 0.0000 0.0000 0.0000
Cr1 Cr 0.0000 0.0000 0.2792
Cr2 Cr 0.0000 0.0000 0.7785
Bi1 Bi 0.0000 0.0000 0.5046
O1 O 0.0169 0.6115 0.0391
O2 O 0.0181 0.4282 0.5397
```